(1)
This entry pairs a crystal structure of Ba2Hg2F7 with its calculated powder diffraction line list. Radiation: a wavelength of 1.5418 Å. Structure: DFT lattice parameters and positions (GGA-PBE).

a b c (Å): 8.5871 8.8581 5.8119
angles (deg): 90.00 90.00 90.00
Space group Cmmm (No. 65)
One atom of each set of equivalent atoms:
Ba  0.2475  0.0000  0.0000 (multiplicity 4)
Hg  0.0000  0.2327  0.5000 (multiplicity 4)
F  0.0000  0.0000  0.2536 (multiplicity 4)
F  0.0000  0.5000  0.5000 (multiplicity 2)
F  0.2500  0.2500  0.2499 (multiplicity 8)

Most intense lines, 10 to 80 degrees two-theta, in order of rising 2θ:
| two_theta | I/Imax | (hkl) |
| --- | --- | --- |
| 25.28 | 89 | 0 2 1 |
| 25.80 | 100 | 2 0 1 |
| 28.96 | 41 | 2 2 0 |
| 30.77 | 22 | 0 0 2 |
| 40.74 | 19 | 0 4 0 |
| 42.09 | 19 | 4 0 0 |
| 42.76 | 63 | 2 2 2 |
| 48.86 | 32 | 2 4 1 |
| 49.74 | 29 | 4 2 1 |
| 51.77 | 15 | 2 0 3 |


(2)
This entry pairs a crystal structure of Ba2HgF7 with its calculated powder diffraction line list. Radiation: a wavelength of 1.5418 Å. Structure: DFT lattice parameters and positions (GGA-PBE).

a b c (Å): 14.0238 6.7746 8.6672
angles (deg): 90.00 126.12 90.00
Space group C2/c (No. 15)
One atom of each set of equivalent atoms:
Ba  0.1816  0.0025  0.0891 (multiplicity 8)
Hg  0.0000  0.4992  0.2500 (multiplicity 4)
F  0.0000  0.1311  0.7500 (multiplicity 4)
F  0.0951  0.3424  0.6274 (multiplicity 8)
F  0.1285  0.2487  0.2970 (multiplicity 8)
F  0.1941  0.3957  0.0384 (multiplicity 8)

Most intense lines, 10 to 80 degrees two-theta, in order of rising 2θ:
| two_theta | I/Imax | (hkl) |
| --- | --- | --- |
| 15.24 | 20 | 1 1 0 |
| 25.42 | 100 | 1 1 -2 |
| 26.33 | 91 | 4 0 -2 |
| 27.03 | 81 | 3 1 0 |
| 37.32 | 31 | 2 0 2 |
| 37.57 | 51 | 4 2 -2 |
| 44.93 | 27 | 5 1 -4 |
| 45.89 | 30 | 1 3 -2 |
| 46.24 | 25 | 2 2 2 |
| 46.88 | 26 | 3 3 0 |


(3)
This entry pairs a crystal structure of BaHg2F8 with its calculated powder diffraction line list. Radiation: a wavelength of 1.5418 Å. Structure: DFT lattice parameters and positions (GGA-PBE).

a b c (Å): 5.8377 5.8377 12.5481
angles (deg): 90.00 90.00 90.00
Space group I422 (No. 97)
One atom of each set of equivalent atoms:
Ba  0.0000  0.0000  0.0000 (multiplicity 2)
Hg  0.0000  0.5000  0.2500 (multiplicity 4)
F  0.1815  0.3063  0.8621 (multiplicity 16)

Most intense lines, 10 to 80 degrees two-theta, in order of rising 2θ:
| two_theta | I/Imax | (hkl) |
| --- | --- | --- |
| 14.12 | 29 | 0 0 2 |
| 16.75 | 18 | 1 0 1 |
| 21.53 | 23 | 1 1 0 |
| 25.84 | 100 | 1 1 2 |
| 30.63 | 20 | 2 0 0 |
| 42.29 | 38 | 2 0 4 |
| 43.87 | 16 | 2 2 0 |
| 48.82 | 17 | 1 1 6 |
| 51.61 | 30 | 3 1 2 |
| 67.70 | 15 | 3 1 6 |


(4)
This entry pairs a crystal structure of KBaHg2F8 with its calculated powder diffraction line list. Radiation: a wavelength of 1.5418 Å. Structure: DFT lattice parameters and positions (GGA-PBE).

a b c (Å): 6.0050 6.0050 11.2931
angles (deg): 90.00 90.00 90.00
Space group I-4m2 (No. 119)
One atom of each set of equivalent atoms:
K  0.0000  0.0000  0.0000 (multiplicity 2)
Ba  0.0000  0.5000  0.2500 (multiplicity 2)
Hg  0.0000  0.0000  0.5000 (multiplicity 2)
Hg  0.0000  0.5000  0.7500 (multiplicity 2)
F  0.2171  0.2478  0.6252 (multiplicity 16)

Most intense lines, 10 to 80 degrees two-theta, in order of rising 2θ:
| two_theta | I/Imax | (hkl) |
| --- | --- | --- |
| 16.72 | 30 | 1 0 1 |
| 26.26 | 100 | 1 1 2 |
| 29.76 | 19 | 2 0 0 |
| 42.58 | 21 | 2 2 0 |
| 44.03 | 39 | 2 0 4 |
| 50.72 | 33 | 3 1 2 |
| 53.23 | 14 | 1 1 6 |
| 54.04 | 8 | 2 2 4 |
| 70.44 | 13 | 3 1 6 |
| 78.95 | 12 | 4 2 4 |


(5)
This entry pairs a crystal structure of BaNa3Hg4F12 with its calculated powder diffraction line list. Radiation: a wavelength of 1.5418 Å. Structure: DFT lattice parameters and positions (GGA-PBE).

a b c (Å): 8.8341 8.8341 8.8341
angles (deg): 90.00 90.00 90.00
Space group Im-3 (No. 204)
One atom of each set of equivalent atoms:
Ba  0.0000  0.0000  0.0000 (multiplicity 2)
Na  0.0000  0.0000  0.5000 (multiplicity 6)
Hg  0.2500  0.2500  0.2500 (multiplicity 8)
F  0.0000  0.1628  0.2949 (multiplicity 24)

Most intense lines, 10 to 80 degrees two-theta, in order of rising 2θ:
| two_theta | I/Imax | (hkl) |
| --- | --- | --- |
| 14.18 | 8 | 1 1 0 |
| 20.10 | 51 | 2 0 0 |
| 28.58 | 100 | 2 2 0 |
| 35.19 | 11 | 2 2 2 |
| 40.86 | 26 | 4 0 0 |
| 45.94 | 27 | 4 0 2 |
| 50.62 | 54 | 4 2 2 |
| 59.16 | 15 | 4 4 0 |
| 63.15 | 11 | 4 4 2 |
| 67.00 | 20 | 6 0 2 |


(6)
This entry pairs a crystal structure of Rb2BaHgF6 with its calculated powder diffraction line list. Radiation: a wavelength of 1.5418 Å. Structure: DFT lattice parameters and positions (GGA-PBE).

a b c (Å): 6.6533 6.8381 11.4960
angles (deg): 90.00 124.56 90.00
Space group P2_1/c (No. 14)
One atom of each set of equivalent atoms:
Rb  0.2336  0.0475  0.2491 (multiplicity 4)
Ba  0.5000  0.0000  0.0000 (multiplicity 2)
Hg  0.0000  0.0000  0.5000 (multiplicity 2)
F  0.1365  0.2184  0.9438 (multiplicity 4)
F  0.2273  0.6973  0.9465 (multiplicity 4)
F  0.3388  0.0443  0.7366 (multiplicity 4)

Most intense lines, 10 to 80 degrees two-theta, in order of rising 2θ:
| two_theta | I/Imax | (hkl) |
| --- | --- | --- |
| 18.61 | 39 | 1 1 -1 |
| 26.06 | 47 | 0 2 0 |
| 26.40 | 100 | 1 1 1 |
| 26.67 | 98 | 1 1 -3 |
| 26.80 | 45 | 2 0 -2 |
| 37.73 | 53 | 2 2 -2 |
| 38.02 | 28 | 0 0 4 |
| 46.68 | 24 | 0 2 4 |
| 46.92 | 25 | 3 1 -1 |
| 47.43 | 37 | 3 1 -5 |


(7)
This entry pairs a crystal structure of Ba2HgRuF with its calculated powder diffraction line list. Radiation: a wavelength of 1.5418 Å. Structure: DFT lattice parameters and positions (GGA-PBE).

a b c (Å): 6.4583 6.4583 5.0005
angles (deg): 90.00 90.00 90.00
Space group P4/mmm (No. 123)
One atom of each set of equivalent atoms:
Ba  0.0000  0.5000  0.0000 (multiplicity 2)
Hg  0.0000  0.0000  0.0000 (multiplicity 1)
Ru  0.0000  0.0000  0.5000 (multiplicity 1)
F  0.5000  0.5000  0.5000 (multiplicity 1)

Most intense lines, 10 to 80 degrees two-theta, in order of rising 2θ:
| two_theta | I/Imax | (hkl) |
| --- | --- | --- |
| 13.71 | 100 | 1 0 0 |
| 17.74 | 40 | 0 0 1 |
| 27.62 | 86 | 2 0 0 |
| 30.96 | 30 | 2 1 0 |
| 33.02 | 36 | 2 0 1 |
| 35.92 | 28 | 0 0 2 |
| 39.46 | 33 | 2 2 0 |
| 45.90 | 44 | 2 0 2 |
| 48.13 | 25 | 2 1 2 |
| 54.42 | 28 | 2 2 2 |


(8)
This entry pairs a crystal structure of BaHgSbF with its calculated powder diffraction line list. Radiation: a wavelength of 1.5418 Å. Structure: DFT lattice parameters and positions (GGA-PBE).

a b c (Å): 4.7454 4.7454 9.5555
angles (deg): 90.00 90.00 90.00
Space group P4/nmm (No. 129, origin choice 2)
One atom of each set of equivalent atoms:
Ba  0.2500  0.2500  0.1424 (multiplicity 2)
Hg  0.2500  0.7500  0.5000 (multiplicity 2)
Sb  0.2500  0.2500  0.6883 (multiplicity 2)
F  0.2500  0.7500  0.0000 (multiplicity 2)

Most intense lines, 10 to 80 degrees two-theta, in order of rising 2θ:
| two_theta | I/Imax | (hkl) |
| --- | --- | --- |
| 26.47 | 70 | 1 0 2 |
| 28.19 | 60 | 1 1 1 |
| 32.61 | 100 | 1 1 2 |
| 37.92 | 66 | 2 0 0 |
| 46.67 | 37 | 1 1 4 |
| 46.84 | 29 | 2 1 2 |
| 54.71 | 23 | 2 2 0 |
| 62.64 | 19 | 3 1 1 |
| 65.16 | 27 | 3 1 2 |
| 74.70 | 18 | 3 1 4 |


(9)
This entry pairs a crystal structure of BaSr2HgF8 with its calculated powder diffraction line list. Radiation: a wavelength of 1.5418 Å. Structure: DFT lattice parameters and positions (GGA-PBE).

a b c (Å): 4.2105 5.9244 8.3046
angles (deg): 90.00 90.00 90.00
Space group Pmmm (No. 47)
One atom of each set of equivalent atoms:
Ba  0.0000  0.0000  0.0000 (multiplicity 1)
Sr  0.5000  0.5000  0.2607 (multiplicity 2)
Hg  0.0000  0.0000  0.5000 (multiplicity 1)
F  0.0000  0.2557  0.2671 (multiplicity 4)
F  0.5000  0.2400  0.5000 (multiplicity 2)
F  0.5000  0.2689  0.0000 (multiplicity 2)

Most intense lines, 10 to 80 degrees two-theta, in order of rising 2θ:
| two_theta | I/Imax | (hkl) |
| --- | --- | --- |
| 14.95 | 15 | 0 1 0 |
| 25.96 | 100 | 1 1 0 |
| 26.21 | 98 | 0 1 2 |
| 30.21 | 47 | 0 2 0 |
| 42.96 | 22 | 2 0 0 |
| 43.24 | 85 | 1 2 2 |
| 43.59 | 20 | 0 0 4 |
| 51.04 | 47 | 1 3 0 |
| 51.22 | 15 | 0 3 2 |
| 51.44 | 30 | 1 1 4 |


(10)
This entry pairs a crystal structure of BaSrHg2F8 with its calculated powder diffraction line list. Radiation: a wavelength of 1.5418 Å. Structure: DFT lattice parameters and positions (GGA-PBE).

a b c (Å): 5.8702 5.8702 11.6904
angles (deg): 90.00 90.00 90.00
Space group I-4m2 (No. 119)
One atom of each set of equivalent atoms:
Ba  0.0000  0.0000  0.0000 (multiplicity 2)
Sr  0.0000  0.5000  0.2500 (multiplicity 2)
Hg  0.0000  0.0000  0.5000 (multiplicity 2)
Hg  0.0000  0.5000  0.7500 (multiplicity 2)
F  0.2348  0.2406  0.6290 (multiplicity 16)

Most intense lines, 10 to 80 degrees two-theta, in order of rising 2θ:
| two_theta | I/Imax | (hkl) |
| --- | --- | --- |
| 16.90 | 13 | 1 0 1 |
| 26.33 | 100 | 1 1 2 |
| 30.46 | 19 | 2 0 0 |
| 30.59 | 9 | 0 0 4 |
| 43.68 | 60 | 2 0 4 |
| 51.66 | 32 | 3 1 2 |
| 51.84 | 16 | 1 1 6 |
| 54.20 | 9 | 2 2 4 |
| 70.00 | 13 | 3 1 6 |
| 71.97 | 8 | 4 2 0 |


(11)
This entry pairs a crystal structure of BaHo2F7 with its calculated powder diffraction line list. Radiation: a wavelength of 1.5418 Å. Structure: DFT lattice parameters and positions (GGA-PBE).

a b c (Å): 7.0198 11.3219 4.2905
angles (deg): 90.00 90.00 90.00
Space group Cmmm (No. 65)
One atom of each set of equivalent atoms:
Ba  0.0000  0.0000  0.0000 (multiplicity 2)
Ho  0.0000  0.3109  0.5000 (multiplicity 4)
F  0.0000  0.2563  0.0000 (multiplicity 4)
F  0.0000  0.5000  0.5000 (multiplicity 2)
F  0.1866  0.1421  0.5000 (multiplicity 8)

Most intense lines, 10 to 80 degrees two-theta, in order of rising 2θ:
| two_theta | I/Imax | (hkl) |
| --- | --- | --- |
| 20.70 | 42 | 0 0 1 |
| 25.38 | 83 | 2 0 0 |
| 25.57 | 97 | 1 1 1 |
| 26.06 | 76 | 0 2 1 |
| 26.82 | 100 | 1 3 0 |
| 36.69 | 52 | 2 2 1 |
| 42.12 | 35 | 0 0 2 |
| 45.62 | 37 | 3 3 0 |
| 47.20 | 61 | 1 5 1 |
| 50.63 | 46 | 1 3 2 |


(12)
This entry pairs a crystal structure of BaNa2HoF8 with its calculated powder diffraction line list. Radiation: a wavelength of 1.5418 Å. Structure: DFT lattice parameters and positions (GGA-PBE).

a b c (Å): 5.6961 5.6961 11.7023
angles (deg): 90.00 90.00 90.00
Space group I-4m2 (No. 119)
One atom of each set of equivalent atoms:
Ba  0.0000  0.0000  0.0000 (multiplicity 2)
Na  0.0000  0.0000  0.5000 (multiplicity 2)
Na  0.0000  0.5000  0.7500 (multiplicity 2)
Ho  0.0000  0.5000  0.2500 (multiplicity 2)
F  0.2237  0.2591  0.3631 (multiplicity 16)

Most intense lines, 10 to 80 degrees two-theta, in order of rising 2θ:
| two_theta | I/Imax | (hkl) |
| --- | --- | --- |
| 17.31 | 80 | 1 0 1 |
| 26.87 | 100 | 1 1 2 |
| 27.72 | 23 | 1 0 3 |
| 36.08 | 22 | 2 1 1 |
| 42.38 | 16 | 2 1 3 |
| 44.39 | 50 | 2 0 4 |
| 45.02 | 24 | 2 2 0 |
| 52.10 | 16 | 1 1 6 |
| 53.19 | 38 | 3 1 2 |
| 71.27 | 12 | 3 1 6 |


(13)
This entry pairs a crystal structure of BaInIF2 with its calculated powder diffraction line list. Radiation: a wavelength of 1.5418 Å. Structure: DFT lattice parameters and positions (GGA-PBE).

a b c (Å): 8.0410 4.3423 8.8276
angles (deg): 90.00 106.97 90.00
Space group P2_1/m (No. 11)
One atom of each set of equivalent atoms:
Ba  0.1310  0.2500  0.2111 (multiplicity 2)
In  0.4129  0.2500  0.8581 (multiplicity 2)
I  0.2407  0.7500  0.5915 (multiplicity 2)
F  0.0576  0.2500  0.9017 (multiplicity 2)
F  0.3270  0.7500  0.2060 (multiplicity 2)

Most intense lines, 10 to 80 degrees two-theta, in order of rising 2θ:
| two_theta | I/Imax | (hkl) |
| --- | --- | --- |
| 22.43 | 74 | 2 0 -1 |
| 27.19 | 100 | 1 1 1 |
| 29.36 | 46 | 1 1 -2 |
| 29.51 | 28 | 0 1 2 |
| 30.49 | 23 | 1 0 -3 |
| 37.08 | 15 | 1 0 3 |
| 39.55 | 14 | 2 1 -3 |
| 40.88 | 37 | 3 1 0 |
| 41.60 | 25 | 0 2 0 |
| 47.77 | 20 | 2 2 -1 |